(1)
Simulated powder X-ray diffraction pattern of CdRh3N for Cu Kα X-rays, from a crystal structure in Alexandria, relaxed with PBE.

```
CdRh3N
1.0
2.5457 1.4697 6.9244
-2.5457 1.4697 6.9244
0.0000 -2.9395 6.9244
Cd Rh N
2 6 2
Direct
0.1654 0.1654 0.1654
0.8346 0.8346 0.8346
0.0301 0.3901 0.7406
0.2594 0.9699 0.6099
0.3901 0.7406 0.0301
0.6099 0.2594 0.9699
0.7406 0.0301 0.3901
0.9699 0.6099 0.2594
0.4094 0.4094 0.4094
0.5906 0.5906 0.5906
```

Peak list (10 most intense, 2θ = 15–90°, low angle first)
2θ (°), Rel. int.
20.6, 9.8
37.6, 100.0
39.0, 31.5
44.2, 61.4
63.3, 20.9
65.2, 19.7
76.0, 11.1
76.9, 22.5
78.6, 11.1
80.4, 9.4

(2)
Simulated powder X-ray diffraction pattern of Sc2Cd2N for Cu Kα X-rays, from a crystal structure in Alexandria, relaxed with PBE.

```
Sc2Cd2N
1.0
1.6184 0.9344 10.1152
-1.6184 0.9344 10.1152
0.0000 -1.8688 10.1152
Sc Cd N
2 2 1
Direct
0.1268 0.1268 0.1268
0.8732 0.8732 0.8732
0.3754 0.3754 0.3754
0.6246 0.6246 0.6246
0.5000 0.5000 0.5000
```

Peak list (10 most intense, 2θ = 15–90°, low angle first)
2θ (°), Rel. int.
32.1, 16.4
34.1, 100.0
35.5, 29.7
40.0, 74.8
56.9, 24.8
58.8, 22.1
68.0, 12.3
68.9, 23.5
70.6, 12.1
71.8, 11.8

(3)
Simulated powder X-ray diffraction pattern of Sm3Cd2N for Cu Kα X-rays, from a crystal structure in Alexandria, relaxed with PBE.

```
Sm3Cd2N
1.0
2.5010 -8.0440 0.0000
2.5010 8.0440 0.0000
0.0000 0.0000 3.5721
Sm Cd N
3 2 1
Direct
0.0000 0.0000 0.0000
0.3912 0.6088 0.5000
0.6088 0.3912 0.5000
0.2008 0.7992 0.0000
0.7992 0.2008 0.0000
0.5000 0.5000 0.0000
```

Peak list (10 most intense, 2θ = 15–90°, low angle first)
2θ (°), Rel. int.
31.3, 100.0
33.1, 96.0
33.6, 57.1
35.9, 43.2
42.1, 18.3
50.0, 36.9
51.1, 15.5
60.8, 20.7
62.3, 30.7
64.1, 17.6

(4)
Simulated powder X-ray diffraction pattern of Sr6Cd23N for Cu Kα X-rays, from a crystal structure in Alexandria, relaxed with PBE.

```
Sr6Cd23N
1.0
0.0000 7.2349 7.2349
7.2349 0.0000 7.2349
7.2349 7.2349 0.0000
Sr Cd N
6 23 1
Direct
0.1855 0.1855 0.8145
0.1855 0.8145 0.1855
0.1855 0.8145 0.8145
0.8145 0.1855 0.1855
0.8145 0.1855 0.8145
0.8145 0.8145 0.1855
0.0000 0.0000 0.5000
0.0000 0.5000 0.0000
0.0000 0.5000 0.5000
0.1419 0.6194 0.6194
0.1722 0.1722 0.1722
0.1722 0.1722 0.4834
0.1722 0.4834 0.1722
0.3806 0.3806 0.3806
0.3806 0.3806 0.8581
0.3806 0.8581 0.3806
0.4834 0.1722 0.1722
0.5000 0.0000 0.0000
0.5000 0.0000 0.5000
0.5000 0.5000 0.0000
0.5000 0.5000 0.5000
0.5166 0.8278 0.8278
0.6194 0.1419 0.6194
0.6194 0.6194 0.1419
0.6194 0.6194 0.6194
0.8278 0.5166 0.8278
0.8278 0.8278 0.5166
0.8278 0.8278 0.8278
0.8581 0.3806 0.3806
0.0000 0.0000 0.0000
```

Peak list (10 most intense, 2θ = 15–90°, low angle first)
2θ (°), Rel. int.
30.3, 16.0
32.1, 67.7
35.1, 100.0
36.7, 38.1
37.3, 15.1
41.4, 30.2
53.8, 18.6
62.9, 16.3
64.0, 24.4
67.2, 12.7

(5)
Simulated powder X-ray diffraction pattern of TbY2CdN for Cu Kα X-rays, from a crystal structure in Alexandria, relaxed with PBE.

```
TbY2CdN
1.0
4.8381 0.0000 0.0000
0.0000 4.8381 0.0000
0.0000 0.0000 4.8648
Tb Y Cd N
1 2 1 1
Direct
0.0000 0.0000 0.0000
0.0000 0.5000 0.5000
0.5000 0.0000 0.5000
0.5000 0.5000 0.0000
0.0000 0.0000 0.5000
```

Peak list (10 most intense, 2θ = 15–90°, low angle first)
2θ (°), Rel. int.
32.0, 100.0
37.0, 19.0
37.2, 37.4
53.4, 25.5
53.6, 12.6
63.5, 13.6
63.8, 26.9
66.9, 12.7
87.7, 11.4
88.0, 5.7

(6)
Simulated powder X-ray diffraction pattern of CdTcN3 for Cu Kα X-rays, from a crystal structure in Alexandria, relaxed with PBE.

```
CdTcN3
1.0
3.9158 0.0000 0.0000
0.0000 3.9158 0.0000
0.0000 0.0000 3.9158
Cd Tc N
1 1 3
Direct
0.0000 0.0000 0.0000
0.5000 0.5000 0.5000
0.0000 0.5000 0.5000
0.5000 0.0000 0.5000
0.5000 0.5000 0.0000
```

Peak list (8 most intense, 2θ = 15–90°, low angle first)
2θ (°), Rel. int.
32.3, 100.0
39.9, 2.6
46.4, 27.9
57.7, 37.6
67.7, 16.4
77.0, 15.8
81.5, 0.5
86.0, 5.6

(7)
Simulated powder X-ray diffraction pattern of CdTeN for Cu Kα X-rays, from a crystal structure in Alexandria, relaxed with PBE.

```
CdTeN
1.0
11.8418 0.0000 0.0000
0.0000 4.4635 0.0000
-1.1555 0.0000 8.0052
Cd Te N
4 4 4
Direct
0.0852 0.2068 0.4026
0.0852 0.2932 0.9026
0.9148 0.7068 0.0974
0.9148 0.7932 0.5974
0.1623 0.6420 0.6480
0.1623 0.8580 0.1480
0.8377 0.1420 0.8520
0.8377 0.3580 0.3520
0.4856 0.0865 0.4520
0.4856 0.4135 0.9520
0.5144 0.5865 0.0480
0.5144 0.9135 0.5480
```

Peak list (10 most intense, 2θ = 15–90°, low angle first)
2θ (°), Rel. int.
22.8, 50.8
23.5, 27.5
28.4, 38.1
30.0, 100.0
30.1, 76.7
30.4, 26.3
35.3, 27.4
36.7, 40.8
41.8, 23.9
44.3, 23.8